Entry 1:
Calculated powder XRD pattern of Tb2ThSb2Te2 for Cu Kα, from DFT lattice parameters and positions (GGA-PBE).

Principal peaks in the range 2θ from 10° to 80°, in order of rising 2θ:
2θ/deg	Rel. int.
11.66	42
21.00	66
29.87	100
33.10	85
42.75	38
45.18	72
55.11	20
63.95	26
70.38	17
72.16	18

Atomic structure:
Lattice parameters (Å, degrees): 5.9824 5.9824 15.1754 90.00 90.00 90.00
Sites, in units of the cell vectors:
Tb: 0.0000 0.0000 0.1108
Tb: 0.0000 0.0000 0.8892
Tb: 0.5000 0.5000 0.3892
Tb: 0.5000 0.5000 0.6108
Th: 0.0000 0.0000 0.5000
Th: 0.5000 0.5000 0.0000
Sb: 0.0000 0.5000 0.0000
Sb: 0.0000 0.5000 0.5000
Sb: 0.5000 0.0000 0.0000
Sb: 0.5000 0.0000 0.5000
Te: 0.0000 0.0000 0.2982
Te: 0.0000 0.0000 0.7018
Te: 0.5000 0.5000 0.2018
Te: 0.5000 0.5000 0.7982

---

Entry 2:
Calculated powder XRD pattern of Tb2TmSb2Te2 for Cu Kα, from DFT lattice parameters and positions (GGA-PBE).

Principal peaks in the range 2θ from 10° to 80°, in order of rising 2θ:
2θ/deg	Rel. int.
11.64	38
22.15	61
25.09	19
31.52	100
32.44	20
33.43	90
45.18	37
46.60	71
57.35	19
66.92	24

Atomic structure:
Lattice parameters (Å, degrees): 5.6766 5.6766 15.2061 90.00 90.00 90.00
Sites, in units of the cell vectors:
Tb: 0.0000 0.0000 0.1126
Tb: 0.0000 0.0000 0.8874
Tb: 0.5000 0.5000 0.3874
Tb: 0.5000 0.5000 0.6126
Tm: 0.0000 0.0000 0.5000
Tm: 0.5000 0.5000 0.0000
Sb: 0.0000 0.5000 0.0000
Sb: 0.0000 0.5000 0.5000
Sb: 0.5000 0.0000 0.0000
Sb: 0.5000 0.0000 0.5000
Te: 0.0000 0.0000 0.3036
Te: 0.0000 0.0000 0.6964
Te: 0.5000 0.5000 0.1964
Te: 0.5000 0.5000 0.8036

---

Entry 3:
Calculated powder XRD pattern of Tb5Tl2Sb2 for Cu Kα, from DFT lattice parameters and positions (GGA-PBE).

Principal peaks in the range 2θ from 10° to 80°, in order of rising 2θ:
2θ/deg	Rel. int.
11.28	26
26.91	33
29.85	94
30.97	27
31.63	42
33.51	72
34.29	27
35.21	100
37.81	21
45.48	30

Atomic structure:
Lattice parameters (Å, degrees): 8.8465 8.8465 8.1595 90.00 90.00 55.05
Sites, in units of the cell vectors:
Tb: 0.0000 0.0000 0.0000
Tb: 0.0309 0.6917 0.6648
Tb: 0.1917 0.5309 0.1648
Tb: 0.3083 0.9691 0.6648
Tb: 0.4691 0.8083 0.1648
Tb: 0.5000 0.5000 0.5000
Tb: 0.5309 0.1917 0.8352
Tb: 0.6917 0.0309 0.3352
Tb: 0.8083 0.4691 0.8352
Tb: 0.9691 0.3083 0.3352
Tl: 0.1325 0.8675 0.3691
Tl: 0.3675 0.6325 0.8691
Tl: 0.6325 0.3675 0.1309
Tl: 0.8675 0.1325 0.6309
Sb: 0.2024 0.2024 0.0000
Sb: 0.2976 0.2976 0.5000
Sb: 0.7024 0.7024 0.5000
Sb: 0.7976 0.7976 0.0000

---

Entry 4:
Calculated powder XRD pattern of Tb5Tl2Sb for Cu Kα, from DFT lattice parameters and positions (GGA-PBE).

Principal peaks in the range 2θ from 10° to 80°, in order of rising 2θ:
2θ/deg	Rel. int.
32.87	100
33.44	51
46.32	8
48.01	18
58.32	16
59.41	35
68.92	9
70.25	5
77.22	5
79.76	7

Atomic structure:
Lattice parameters (Å, degrees): 7.5796 7.5796 7.8411 90.00 90.00 90.00
Sites, in units of the cell vectors:
Tb: 0.0000 0.0000 0.0000
Tb: 0.2361 0.2361 0.2963
Tb: 0.2361 0.7639 0.2963
Tb: 0.2639 0.2639 0.7963
Tb: 0.2639 0.7361 0.7963
Tb: 0.5000 0.5000 0.5000
Tb: 0.7361 0.2639 0.7963
Tb: 0.7361 0.7361 0.7963
Tb: 0.7639 0.2361 0.2963
Tb: 0.7639 0.7639 0.2963
Tl: 0.0000 0.5000 0.0368
Tl: 0.0000 0.5000 0.5368
Tl: 0.5000 0.0000 0.0368
Tl: 0.5000 0.0000 0.5368
Sb: 0.0000 0.0000 0.5907
Sb: 0.5000 0.5000 0.0907

---

Entry 5:
Calculated powder XRD pattern of Tb8TlSb2 for Cu Kα, from DFT lattice parameters and positions (GGA-PBE).

Principal peaks in the range 2θ from 10° to 80°, in order of rising 2θ:
2θ/deg	Rel. int.
28.83	25
29.75	30
30.63	21
30.96	100
32.41	30
33.26	18
34.18	30
36.40	59
38.05	25
62.12	14

Atomic structure:
Lattice parameters (Å, degrees): 9.9327 9.9327 7.1223 100.31 100.31 28.79
Sites, in units of the cell vectors:
Tb: 0.0175 0.0175 0.2552
Tb: 0.2151 0.2151 0.8462
Tb: 0.3372 0.3372 0.4811
Tb: 0.4058 0.4058 0.0133
Tb: 0.5942 0.5942 0.9867
Tb: 0.6628 0.6628 0.5189
Tb: 0.7849 0.7849 0.1538
Tb: 0.9825 0.9825 0.7448
Tl: 0.5000 0.5000 0.5000
Sb: 0.1804 0.1804 0.2652
Sb: 0.8196 0.8196 0.7348

---

Entry 6:
Calculated powder XRD pattern of Tb4TmSb5 for Cu Kα, from DFT lattice parameters and positions (GGA-PBE).

Principal peaks in the range 2θ from 10° to 80°, in order of rising 2θ:
2θ/deg	Rel. int.
24.84	4
28.76	100
41.13	76
48.65	2
50.96	27
59.57	13
65.55	1
67.48	35
74.95	26

Atomic structure:
Lattice parameters (Å, degrees): 7.6025 7.6025 7.6025 99.60 99.60 131.80
Sites, in units of the cell vectors:
Tb: 0.0989 0.3003 0.3993
Tb: 0.3003 0.9011 0.2014
Tb: 0.6997 0.0989 0.7986
Tb: 0.9011 0.6997 0.6007
Tm: 0.5000 0.5000 0.0000
Sb: 0.0000 0.0000 0.0000
Sb: 0.2025 0.5995 0.8020
Sb: 0.4005 0.2025 0.6030
Sb: 0.5995 0.7975 0.3970
Sb: 0.7975 0.4005 0.1980